# 1
Starting from a cell relaxed with PBE, the X-ray diffraction stick pattern of AcTbB12 was simulated for CuKα.
Peak positions follow from Bragg's law for the DFT cell and can differ from measured ones.

Principal peaks in the range 10° ≤ 2θ ≤ 90°, by angle:
21.40 deg, rel. 75
30.44 deg, rel. 100
37.51 deg, rel. 42
49.05 deg, rel. 52
54.09 deg, rel. 31
67.69 deg, rel. 28

```
AcTbB12
1.0
4.1540 0.0000 0.0000
0.0000 4.1540 0.0000
0.0000 0.0000 8.3009
Ac Tb B
1 1 12
direct
0.0000 0.0000 0.0000
0.0000 0.0000 0.5000
0.1998 0.5000 0.2541
0.1998 0.5000 0.7459
0.5000 0.1998 0.2541
0.5000 0.1998 0.7459
0.5000 0.5000 0.1018
0.5000 0.5000 0.4022
0.5000 0.5000 0.5978
0.5000 0.5000 0.8982
0.5000 0.8002 0.2541
0.5000 0.8002 0.7459
0.8002 0.5000 0.2541
0.8002 0.5000 0.7459
```



# 2
Starting from a cell relaxed with PBE, the X-ray diffraction stick pattern of AcTc4B4 was simulated for CuKα.
Peak positions follow from Bragg's law for the DFT cell and can differ from measured ones.

Principal peaks in the range 10° ≤ 2θ ≤ 90°, by angle:
23.27 deg, rel. 23
24.34 deg, rel. 45
33.92 deg, rel. 100
37.19 deg, rel. 72
39.75 deg, rel. 22
48.15 deg, rel. 27

```
AcTc4B4
1.0
7.6456 0.0000 0.0000
0.0000 7.6456 0.0000
0.0000 0.0000 4.1647
Ac Tc B
2 8 8
direct
0.2500 0.2500 0.2500
0.7500 0.7500 0.7500
0.1111 0.6374 0.1286
0.1374 0.8889 0.6286
0.3626 0.6111 0.6286
0.3889 0.8626 0.1286
0.6111 0.1374 0.8714
0.6374 0.3889 0.3714
0.8626 0.1111 0.3714
0.8889 0.3626 0.8714
0.0441 0.9192 0.1326
0.0808 0.5441 0.6326
0.4192 0.9559 0.6326
0.4559 0.5808 0.1326
0.5441 0.4192 0.8674
0.5808 0.0441 0.3674
0.9192 0.4559 0.3674
0.9559 0.0808 0.8674
```



# 3
Starting from a cell relaxed with PBE, the X-ray diffraction stick pattern of BaAc11 was simulated for CuKα.
Peak positions follow from Bragg's law for the DFT cell and can differ from measured ones.

Principal peaks in the range 10° ≤ 2θ ≤ 90°, by angle:
26.42 deg, rel. 22
27.64 deg, rel. 50
27.91 deg, rel. 100
31.04 deg, rel. 29
49.21 deg, rel. 19
54.38 deg, rel. 34

```
BaAc11
1.0
12.7864 0.0000 0.0000
-6.3932 11.0733 0.0000
0.0000 0.0000 3.9723
Ba Ac
1 11
direct
0.0000 0.0000 0.0000
0.0000 0.5000 0.0000
0.1794 0.3587 0.5000
0.1794 0.8206 0.5000
0.3333 0.6667 0.0000
0.3587 0.1794 0.5000
0.5000 0.0000 0.0000
0.5000 0.5000 0.0000
0.6413 0.8206 0.5000
0.6667 0.3333 0.0000
0.8206 0.1794 0.5000
0.8206 0.6413 0.5000
```



Repeat the first record exactly.
Starting from a cell relaxed with PBE, the X-ray diffraction stick pattern of AcTbB12 was simulated for CuKα.
Peak positions follow from Bragg's law for the DFT cell and can differ from measured ones.

Principal peaks in the range 10° ≤ 2θ ≤ 90°, by angle:
21.40 deg, rel. 75
30.44 deg, rel. 100
37.51 deg, rel. 42
49.05 deg, rel. 52
54.09 deg, rel. 31
67.69 deg, rel. 28

```
AcTbB12
1.0
4.1540 0.0000 0.0000
0.0000 4.1540 0.0000
0.0000 0.0000 8.3009
Ac Tb B
1 1 12
direct
0.0000 0.0000 0.0000
0.0000 0.0000 0.5000
0.1998 0.5000 0.2541
0.1998 0.5000 0.7459
0.5000 0.1998 0.2541
0.5000 0.1998 0.7459
0.5000 0.5000 0.1018
0.5000 0.5000 0.4022
0.5000 0.5000 0.5978
0.5000 0.5000 0.8982
0.5000 0.8002 0.2541
0.5000 0.8002 0.7459
0.8002 0.5000 0.2541
0.8002 0.5000 0.7459
```